1.
Computed powder diffractogram
Compound: Tm3ThTl2
Radiation: Cu Kα, 1.54184 Å
Structure: the GGA-PBE geometry in Alexandria
Peak positions follow from Bragg's law for the DFT cell and can differ from measured ones.

Largest 8 diffraction maxima, sorted by position, 10° ≤ 2θ ≤ 80°:
index	2θ (°)	I (rel.)
1 0 3	32.40	100
1 1 0	35.20	42
0 0 6	42.02	11
2 0 0	50.63	15
1 1 6	55.94	20
2 1 3	61.40	33
2 0 6	67.84	11
1 0 9	70.73	8

Crystal structure
a = 3.6059 Å, b = 3.6059 Å, c = 12.9005 Å
α = 90.00°, β = 90.00°, γ = 90.00°
Space group P4/mmm (No. 123)
Inequivalent atoms, fractional coordinates:
Tm  0.0000  0.0000  0.0000 x1
Tm  0.0000  0.0000  0.3175 x2
Th  0.5000  0.5000  0.5000 x1
Tl  0.5000  0.5000  0.1590 x2


2.
Computed powder diffractogram
Compound: PmPa4O10
Radiation: Cu Kα, 1.54184 Å
Structure: the GGA-PBE geometry in Alexandria
Peak positions follow from Bragg's law for the DFT cell and can differ from measured ones.

Largest 8 diffraction maxima, sorted by position, 10° ≤ 2θ ≤ 80°:
index	2θ (°)	I (rel.)
0 1 5	28.16	100
0 0 15	28.31	33
1 0 10	32.67	48
1 1 0	46.77	34
0 1 20	46.98	33
2 0 5	55.55	47
1 0 25	55.76	16
1 2 5	75.44	13

Crystal structure
a = 3.8843 Å, b = 3.8843 Å, c = 47.2850 Å
α = 90.00°, β = 90.00°, γ = 120.00°
Space group R-3m (No. 166, hexagonal axes)
Inequivalent atoms, fractional coordinates:
Pm  0.0000  0.0000  0.0000 x3
Pa  0.0000  0.0000  0.1999 x6
Pa  0.0000  0.0000  0.3996 x6
O  0.0000  0.0000  0.0530 x6
O  0.0000  0.0000  0.1500 x6
O  0.0000  0.0000  0.2493 x6
O  0.0000  0.0000  0.3533 x6
O  0.0000  0.0000  0.4504 x6


3.
Computed powder diffractogram
Compound: Pm2Dy5Er3
Radiation: Cu Kα, 1.54184 Å
Structure: the GGA-PBE geometry in Alexandria
Peak positions follow from Bragg's law for the DFT cell and can differ from measured ones.

Largest 8 diffraction maxima, sorted by position, 10° ≤ 2θ ≤ 80°:
index	2θ (°)	I (rel.)
2 4 0	30.40	100
2 2 1	30.59	46
2 2 -3	30.76	47
0 4 2	32.27	24
4 0 -2	33.76	45
2 6 -1	38.03	17
0 6 3	49.28	19
2 10 -3	66.02	20

Crystal structure
a = 10.6200 Å, b = 15.8598 Å, c = 9.3767 Å
α = 90.00°, β = 124.10°, γ = 90.00°
Space group C2/c (No. 15)
Inequivalent atoms, fractional coordinates:
Pm  0.1407  0.1263  0.0462 x8
Dy  0.0000  0.2317  0.2500 x4
Dy  0.0000  0.2734  0.7500 x4
Dy  0.0000  0.4708  0.7500 x4
Dy  0.2303  0.3828  0.2164 x8
Er  0.0000  0.0235  0.2500 x4
Er  0.1583  0.3798  0.5483 x8